This entry pairs a crystal structure of LiCaOs2 with its calculated powder diffractogram. Radiation: λ = 1.5418 Å (Cu Kα). Structure: the GGA-PBE geometry in Alexandria.
Lines closer than 0.1° are merged.

Peak list (10 most intense, 2θ = 10–80°, sorted by position)
2θ/deg, Rel. int., (hkl)
13.7, 100, 0 0 1
27.0, 11, 0 1 1
27.5, 11, 0 0 2
36.3, 29, 0 1 2
39.3, 32, 1 1 0
41.8, 27, 1 1 1
42.2, 19, 1 0 2
47.4, 9, 0 2 0
48.4, 12, 0 1 3
65.3, 14, 2 0 0

Structural model:
Cell lengths 2.8551, 3.8338, 6.4761 Å; angles 90.00, 90.00, 90.00 degrees
Element x y z (fractional)
Li: 0.0000 0.0000 0.0000
Ca: 0.5000 0.5000 0.6979
Os: 0.0000 0.0000 0.3866
Os: 0.5000 0.5000 0.2294